No. 1
Diffraction record for Dy4TmPd15. The X-ray diffraction stick pattern is computed, not measured: it uses a PBE-relaxed structure and CuKα.

Crystal structure
```
Dy4TmPd15
1.0
4.108 0.000 0.000
0.000 4.108 0.000
0.000 0.000 20.675
Dy Tm Pd
4 1 15
Direct
0.000 0.000 0.100 Dy
0.000 0.000 0.301 Dy
0.000 0.000 0.699 Dy
0.000 0.000 0.900 Dy
0.000 0.000 0.500 Tm
0.000 0.500 0.000 Pd
0.000 0.500 0.201 Pd
0.000 0.500 0.401 Pd
0.000 0.500 0.599 Pd
0.000 0.500 0.799 Pd
0.500 0.000 0.000 Pd
0.500 0.000 0.201 Pd
0.500 0.000 0.401 Pd
0.500 0.000 0.599 Pd
0.500 0.000 0.799 Pd
0.500 0.500 0.100 Pd
0.500 0.500 0.301 Pd
0.500 0.500 0.500 Pd
0.500 0.500 0.699 Pd
0.500 0.500 0.900 Pd
```

Most intense lines, 2θ = 5–70°, in order of rising 2θ:
| two_theta | d [Å] | intensity |
| --- | --- | --- |
| 21.5 | 4.135 | 1 |
| 21.6 | 4.108 | 2 |
| 30.7 | 2.914 | 2 |
| 37.9 | 2.377 | 100 |
| 43.8 | 2.067 | 17 |
| 44.1 | 2.054 | 32 |
| 63.9 | 1.457 | 21 |
| 64.1 | 1.452 | 10 |


No. 2
Diffraction record for Dy2Tm5Pd4. The X-ray diffraction stick pattern is computed, not measured: it uses a PBE-relaxed structure and CuKα.

Crystal structure
```
Dy2Tm5Pd4
1.0
11.491 -1.831 0.000
11.491 1.831 0.000
-0.736 0.000 6.790
Dy Tm Pd
2 5 4
Direct
0.226 0.226 0.254 Dy
0.774 0.774 0.746 Dy
0.000 0.000 0.000 Tm
0.370 0.370 0.094 Tm
0.397 0.397 0.602 Tm
0.603 0.603 0.398 Tm
0.630 0.630 0.906 Tm
0.178 0.178 0.646 Pd
0.479 0.479 0.300 Pd
0.521 0.521 0.700 Pd
0.822 0.822 0.354 Pd
```

Most intense lines, 2θ = 5–70°, in order of rising 2θ:
| two_theta | d [Å] | intensity |
| --- | --- | --- |
| 28.2 | 3.162 | 38 |
| 30.7 | 2.915 | 53 |
| 31.3 | 2.857 | 100 |
| 35.4 | 2.537 | 48 |
| 36.0 | 2.496 | 30 |
| 37.1 | 2.424 | 70 |
| 44.3 | 2.046 | 40 |
| 49.8 | 1.831 | 33 |


No. 3
Diffraction record for Dy2TmPd4. The X-ray diffraction stick pattern is computed, not measured: it uses a PBE-relaxed structure and CuKα.

Crystal structure
```
Dy2TmPd4
1.0
8.483 0.000 0.000
0.000 5.758 0.000
-4.233 0.000 7.371
Dy Tm Pd
4 2 8
Direct
0.131 0.000 0.262 Dy
0.369 0.500 0.738 Dy
0.631 0.500 0.262 Dy
0.869 0.000 0.738 Dy
0.000 0.500 0.000 Tm
0.500 0.000 0.000 Tm
0.183 0.500 0.366 Pd
0.250 0.250 0.000 Pd
0.250 0.750 0.000 Pd
0.317 0.000 0.634 Pd
0.683 0.000 0.366 Pd
0.750 0.250 0.000 Pd
0.750 0.750 0.000 Pd
0.817 0.500 0.634 Pd
```

Most intense lines, 2θ = 5–70°, in order of rising 2θ:
| two_theta | d [Å] | intensity |
| --- | --- | --- |
| 12.0 | 7.371 | 43 |
| 20.9 | 4.241 | 63 |
| 26.1 | 3.421 | 28 |
| 32.2 | 2.782 | 28 |
| 35.8 | 2.507 | 78 |
| 37.8 | 2.382 | 100 |
| 42.6 | 2.121 | 36 |
| 53.6 | 1.710 | 34 |


No. 4
Diffraction record for DyTm6Pd2. The X-ray diffraction stick pattern is computed, not measured: it uses a PBE-relaxed structure and CuKα.

Crystal structure
```
DyTm6Pd2
1.0
7.932 -1.817 0.000
7.932 1.817 0.000
-6.738 0.000 8.282
Dy Tm Pd
1 6 2
Direct
0.000 0.000 0.000 Dy
0.033 0.033 0.690 Tm
0.288 0.288 0.390 Tm
0.307 0.307 0.946 Tm
0.693 0.693 0.054 Tm
0.712 0.712 0.610 Tm
0.967 0.967 0.310 Tm
0.404 0.404 0.731 Pd
0.596 0.596 0.269 Pd
```

Most intense lines, 2θ = 5–70°, in order of rising 2θ:
| two_theta | d [Å] | intensity |
| --- | --- | --- |
| 30.9 | 2.897 | 62 |
| 32.4 | 2.761 | 40 |
| 32.8 | 2.729 | 27 |
| 32.9 | 2.720 | 100 |
| 34.4 | 2.604 | 59 |
| 35.3 | 2.541 | 65 |
| 38.9 | 2.314 | 37 |
| 50.2 | 1.817 | 30 |